1.
# Li5Cd3
Simulated powder diffractogram, copper Kα. Input: a DFT-relaxed cell (GGA-PBE, Alexandria).
Lines closer than 0.1° are merged.

Principal peaks in the range 2θ = 10–90°, low angle first:
| d (Å) | intensity |
| --- | --- |
| 6.700 | 14.5 |
| 3.869 | 100.0 |
| 3.350 | 15.8 |
| 2.987 | 20.2 |
| 2.533 | 16.6 |
| 2.364 | 62.1 |
| 2.232 | 29.6 |
| 1.933 | 17.4 |
| 1.858 | 17.9 |
| 1.578 | 20.7 |

Atomic structure:
Lattice parameters (Å, degrees): 7.737 7.737 2.987 90.00 90.00 120.00
Positions (direct):
Li (0.000, 0.245, 0.000)
Li (0.245, 0.000, 0.000)
Li (0.333, 0.667, 0.000)
Li (0.667, 0.333, 0.000)
Li (0.755, 0.755, 0.000)
Cd (0.000, 0.613, 0.500)
Cd (0.387, 0.387, 0.500)
Cd (0.613, 0.000, 0.500)

2.
# Li7Cd2
Simulated powder diffractogram, copper Kα. Input: a DFT-relaxed cell (GGA-PBE, Alexandria).
Lines closer than 0.1° are merged.

Principal peaks in the range 2θ = 10–90°, low angle first:
| d (Å) | intensity |
| --- | --- |
| 4.314 | 30.9 |
| 4.087 | 21.7 |
| 3.694 | 100.0 |
| 2.967 | 21.9 |
| 2.360 | 29.6 |
| 2.352 | 36.4 |
| 2.070 | 25.5 |
| 1.989 | 17.6 |
| 1.591 | 14.7 |
| 1.361 | 16.9 |

Atomic structure:
Lattice parameters (Å, degrees): 4.720 4.720 8.628 90.00 90.00 120.00
Positions (direct):
Li (0.000, 0.000, 0.000)
Li (0.000, 0.000, 0.328)
Li (0.000, 0.000, 0.672)
Li (0.333, 0.667, 0.108)
Li (0.333, 0.667, 0.436)
Li (0.667, 0.333, 0.564)
Li (0.667, 0.333, 0.892)
Cd (0.333, 0.667, 0.772)
Cd (0.667, 0.333, 0.228)

Please write out number 2 again, unchanged.
# Li7Cd2
Simulated powder diffractogram, copper Kα. Input: a DFT-relaxed cell (GGA-PBE, Alexandria).
Lines closer than 0.1° are merged.

Principal peaks in the range 2θ = 10–90°, low angle first:
| d (Å) | intensity |
| --- | --- |
| 4.314 | 30.9 |
| 4.087 | 21.7 |
| 3.694 | 100.0 |
| 2.967 | 21.9 |
| 2.360 | 29.6 |
| 2.352 | 36.4 |
| 2.070 | 25.5 |
| 1.989 | 17.6 |
| 1.591 | 14.7 |
| 1.361 | 16.9 |

Atomic structure:
Lattice parameters (Å, degrees): 4.720 4.720 8.628 90.00 90.00 120.00
Positions (direct):
Li (0.000, 0.000, 0.000)
Li (0.000, 0.000, 0.328)
Li (0.000, 0.000, 0.672)
Li (0.333, 0.667, 0.108)
Li (0.333, 0.667, 0.436)
Li (0.667, 0.333, 0.564)
Li (0.667, 0.333, 0.892)
Cd (0.333, 0.667, 0.772)
Cd (0.667, 0.333, 0.228)